Structure and calculated XRD peak list of Ca3Co4P4 (DFT lattice parameters and positions (PBE); λ = 1.5418 Å (Cu Kα)).
Lines closer than 0.1° are merged.

Peak list (10 most intense, 10° ≤ 2θ ≤ 90°, low angle first)
| d (Å) | 2θ/deg | I (rel.) |
| --- | --- | --- |
| 4.962 | 17.88 | 62 |
| 2.865 | 31.22 | 38 |
| 2.481 | 36.21 | 49 |
| 2.219 | 40.66 | 100 |
| 2.026 | 44.74 | 23 |
| 1.876 | 48.54 | 38 |
| 1.654 | 55.56 | 40 |
| 1.569 | 58.85 | 16 |
| 1.241 | 76.84 | 17 |
| 1.138 | 85.25 | 15 |

a = 6.077 Å, b = 6.077 Å, c = 6.077 Å
α = 109.47°, β = 109.47°, γ = 109.47°
Element x y z (fractional)
Ca 0.000 0.500 0.500
Ca 0.500 0.000 0.500
Ca 0.500 0.500 0.000
Co 0.000 0.000 0.729
Co 0.000 0.729 0.000
Co 0.271 0.271 0.271
Co 0.729 0.000 0.000
P 0.000 0.000 0.369
P 0.000 0.369 0.000
P 0.369 0.000 0.000
P 0.631 0.631 0.631